This entry pairs a crystal structure of RbNb2Fe2O7 with its computed powder X-ray diffraction pattern. Radiation: a wavelength of 1.5418 Å. Structure: a PBE+U-relaxed structure.
Lines closer than 0.1° are merged.

Structural model:
```
RbNb2Fe2O7
1.0
-2.0159 2.1064 9.0581
2.0159 -2.1064 9.0581
2.0159 2.1064 -9.0581
Rb Nb Fe O
1 2 2 7
Cartesian
0.0000 0.0000 0.0000 Rb
0.0000 0.0000 7.0545 Nb
0.0000 0.0000 11.0616 Nb
2.0159 0.0000 4.2779 Fe
0.0000 2.1064 4.7802 Fe
2.0159 0.0000 2.1271 O
0.0000 0.0000 4.8733 O
2.0159 0.0000 6.9418 O
0.0000 0.0000 9.0581 O
0.0000 2.1064 2.1163 O
0.0000 0.0000 13.2429 O
0.0000 2.1064 6.9310 O
```

Principal peaks in the range 15° ≤ 2θ ≤ 90°, sorted by position:
2θ/deg	I_rel
26.58	77
32.28	100
32.60	83
39.81	52
42.94	61
44.97	53